Computed powder X-ray diffraction pattern of Pa3Ni6Ge2 for Cu Ka, from a DFT-relaxed cell (PBE, Alexandria).
Intensities are scaled so that the largest is 100.

Main lines, low angle first (10° ≤ 2θ ≤ 90°):
2θ (°)	intensity
24.76	41
32.13	44
35.30	81
38.23	38
40.98	37
43.59	100
57.29	34
59.35	19
61.37	17
65.30	22
70.97	33
80.05	22

Structural model:
```
data_Pa3Ni6Ge2
_chemical_formula_sum 'Pa12 Ni24 Ge8'
_cell_length_a 8.8088
_cell_length_b 8.8088
_cell_length_c 8.8088
_cell_angle_alpha 90.00
_cell_angle_beta 90.00
_cell_angle_gamma 90.00
_space_group_name_H-M_alt 'I m -3 m'
_space_group_IT_number 229
_space_group_name_Hall '-I 4 2 3'
loop_
_atom_site_label
_atom_site_type_symbol
_atom_site_fract_x
_atom_site_fract_y
_atom_site_fract_z
Pa1 Pa 0.0000 0.0000 0.2779
Ni1 Ni 0.0000 0.3465 0.3465
Ge1 Ge 0.2500 0.2500 0.2500
```

Computed powder X-ray diffraction pattern of Rb2LiIBr2 for Cu Ka, from a DFT-relaxed cell (PBE, Alexandria).
Intensities are scaled so that the largest is 100.

Main lines, low angle first (10° ≤ 2θ ≤ 90°):
2θ (°)	intensity
19.92	22
26.32	100
26.86	92
31.98	27
34.45	58
39.81	18
41.96	15
44.22	47
49.51	20
55.37	27
56.94	22
59.22	15

Structural model:
```
data_Rb2LiIBr2
_chemical_formula_sum 'Rb2 Li1 I1 Br2'
_cell_length_a 5.2071
_cell_length_b 5.2071
_cell_length_c 8.6135
_cell_angle_alpha 90.00
_cell_angle_beta 90.00
_cell_angle_gamma 90.00
_space_group_name_H-M_alt 'P 4/m m m'
_space_group_IT_number 123
_space_group_name_Hall '-P 4 2'
loop_
_atom_site_label
_atom_site_type_symbol
_atom_site_fract_x
_atom_site_fract_y
_atom_site_fract_z
Rb1 Rb 0.0000 0.0000 0.2323
Li1 Li 0.5000 0.5000 0.5000
I1 I 0.5000 0.5000 0.0000
Br1 Br 0.0000 0.5000 0.5000
```

Computed powder X-ray diffraction pattern of ErCdInSn for Cu Ka, from a DFT-relaxed cell (PBE, Alexandria).
Intensities are scaled so that the largest is 100.

Main lines, low angle first (10° ≤ 2θ ≤ 90°):
2θ (°)	intensity
33.73	100
37.82	18
39.23	17
40.33	15
55.63	12
56.48	11
57.53	11
65.70	14
67.61	13
69.13	12
70.92	11
80.82	2

Structural model:
```
data_ErCdInSn
_chemical_formula_sum 'Er1 Cd1 In1 Sn1'
_cell_length_a 4.4722
_cell_length_b 4.5932
_cell_length_c 4.7570
_cell_angle_alpha 90.00
_cell_angle_beta 90.00
_cell_angle_gamma 90.00
_space_group_name_H-M_alt 'P m m m'
_space_group_IT_number 47
_space_group_name_Hall '-P 2 2'
loop_
_atom_site_label
_atom_site_type_symbol
_atom_site_fract_x
_atom_site_fract_y
_atom_site_fract_z
Er1 Er 0.0000 0.0000 0.0000
Cd1 Cd 0.0000 0.5000 0.5000
In1 In 0.5000 0.0000 0.5000
Sn1 Sn 0.5000 0.5000 0.0000
```

Computed powder X-ray diffraction pattern of Nb6TlS8 for Cu Ka, from a DFT-relaxed cell (PBE, Alexandria).
Intensities are scaled so that the largest is 100.

Main lines, low angle first (10° ≤ 2θ ≤ 90°):
2θ (°)	intensity
21.04	71
27.95	45
28.33	49
33.88	23
38.43	53
38.72	100
41.68	20
45.82	34
49.46	37
68.24	19
76.26	20
85.40	19

Structural model:
```
data_Nb6TlS8
_chemical_formula_sum 'Nb6 Tl1 S8'
_cell_length_a 9.7511
_cell_length_b 9.7511
_cell_length_c 3.3949
_cell_angle_alpha 90.00
_cell_angle_beta 90.00
_cell_angle_gamma 120.00
_space_group_name_H-M_alt 'P -6'
_space_group_IT_number 174
_space_group_name_Hall 'P -6'
loop_
_atom_site_label
_atom_site_type_symbol
_atom_site_fract_x
_atom_site_fract_y
_atom_site_fract_z
Nb1 Nb 0.0398 0.2219 0.0000
Nb2 Nb 0.1544 0.7098 0.5000
Tl1 Tl 0.6667 0.3333 0.0000
S1 S 0.0000 0.0000 0.5000
S2 S 0.0110 0.3917 0.5000
S3 S 0.3183 0.2754 0.0000
S4 S 0.3333 0.6667 0.0000
```

Computed powder X-ray diffraction pattern of Li4MgPt2 for Cu Ka, from a DFT-relaxed cell (PBE, Alexandria).
Intensities are scaled so that the largest is 100.

Main lines, low angle first (10° ≤ 2θ ≤ 90°):
2θ (°)	intensity
18.67	80
19.60	100
27.19	63
33.78	28
34.42	28
38.88	23
39.36	38
39.80	18
43.90	40
44.30	20
55.76	18
56.85	17

Structural model:
```
data_Li4MgPt2
_chemical_formula_sum 'Li16 Mg4 Pt8'
_cell_length_a 5.3061
_cell_length_b 9.0606
_cell_length_c 9.5055
_cell_angle_alpha 90.00
_cell_angle_beta 90.00
_cell_angle_gamma 90.00
_space_group_name_H-M_alt 'F m m m'
_space_group_IT_number 69
_space_group_name_Hall '-F 2 2'
loop_
_atom_site_label
_atom_site_type_symbol
_atom_site_fract_x
_atom_site_fract_y
_atom_site_fract_z
Li1 Li 0.0000 0.1527 0.0000
Li2 Li 0.2500 0.2500 0.2500
Mg1 Mg 0.0000 0.0000 0.5000
Pt1 Pt 0.0000 0.0000 0.2227
```

Computed powder X-ray diffraction pattern of Pr2ZnSi4Ni3 for Cu Ka, from a DFT-relaxed cell (PBE, Alexandria).
Intensities are scaled so that the largest is 100.

Main lines, low angle first (10° ≤ 2θ ≤ 90°):
2θ (°)	intensity
23.56	30
30.88	26
32.24	14
35.22	82
36.06	100
44.23	55
51.87	24
57.76	38
64.34	17
65.83	17
70.49	19
76.03	22

Structural model:
```
data_Pr2ZnSi4Ni3
_chemical_formula_sum 'Pr2 Zn1 Si4 Ni3'
_cell_length_a 4.0951
_cell_length_b 4.0951
_cell_length_c 9.7650
_cell_angle_alpha 90.00
_cell_angle_beta 90.00
_cell_angle_gamma 90.00
_space_group_name_H-M_alt 'P -4 m 2'
_space_group_IT_number 115
_space_group_name_Hall 'P -4 -2'
loop_
_atom_site_label
_atom_site_type_symbol
_atom_site_fract_x
_atom_site_fract_y
_atom_site_fract_z
Pr1 Pr 0.0000 0.5000 0.2443
Zn1 Zn 0.0000 0.0000 0.5000
Si1 Si 0.0000 0.0000 0.0000
Si2 Si 0.0000 0.5000 0.6409
Si3 Si 0.5000 0.5000 0.0000
Ni1 Ni 0.0000 0.5000 0.8838
Ni2 Ni 0.5000 0.5000 0.5000
```

Computed powder X-ray diffraction pattern of Rb2CeThS4 for Cu Ka, from a DFT-relaxed cell (PBE, Alexandria).
Intensities are scaled so that the largest is 100.

Main lines, low angle first (10° ≤ 2θ ≤ 90°):
2θ (°)	intensity
11.42	35
22.96	24
25.70	50
28.99	100
39.73	38
43.14	34
46.38	14
49.42	20
52.82	12
60.08	11
70.48	15
76.79	11

Structural model:
```
data_Rb2CeThS4
_chemical_formula_sum 'Rb2 Ce1 Th1 S4'
_cell_length_a 7.2646
_cell_length_b 4.1940
_cell_length_c 8.1174
_cell_angle_alpha 90.00
_cell_angle_beta 107.34
_cell_angle_gamma 90.00
_space_group_name_H-M_alt 'P 1 2/m 1'
_space_group_IT_number 10
_space_group_name_Hall '-P 2y'
loop_
_atom_site_label
_atom_site_type_symbol
_atom_site_fract_x
_atom_site_fract_y
_atom_site_fract_z
Rb1 Rb 0.0000 0.0000 0.0000
Rb2 Rb 0.5000 0.5000 0.0000
Ce1 Ce 0.0000 0.5000 0.5000
Th1 Th 0.5000 0.0000 0.5000
S1 S 0.2393 0.0000 0.6991
S2 S 0.2724 0.5000 0.3008
```

Computed powder X-ray diffraction pattern of Li4PtPb for Cu Ka, from a DFT-relaxed cell (PBE, Alexandria).
Intensities are scaled so that the largest is 100.

Main lines, low angle first (10° ≤ 2θ ≤ 90°):
2θ (°)	intensity
22.99	100
31.65	14
39.48	56
40.38	28
46.98	16
52.20	22
57.76	19
63.64	13
71.01	9
72.81	16
80.38	5
82.14	5

Structural model:
```
data_Li4PtPb
_chemical_formula_sum 'Li8 Pt2 Pb2'
_cell_length_a 7.7357
_cell_length_b 4.4679
_cell_length_c 5.6531
_cell_angle_alpha 90.00
_cell_angle_beta 90.10
_cell_angle_gamma 90.00
_space_group_name_H-M_alt 'C 1 2/m 1'
_space_group_IT_number 12
_space_group_name_Hall '-C 2y'
loop_
_atom_site_label
_atom_site_type_symbol
_atom_site_fract_x
_atom_site_fract_y
_atom_site_fract_z
Li1 Li 0.1666 0.0000 0.2259
Li2 Li 0.1667 0.0000 0.7748
Pt1 Pt 0.0000 0.5000 0.0000
Pb1 Pb 0.0000 0.5000 0.5000
```

Computed powder X-ray diffraction pattern of Mo4CN2 for Cu Ka, from a DFT-relaxed cell (PBE, Alexandria).
Intensities are scaled so that the largest is 100.

Main lines, low angle first (10° ≤ 2θ ≤ 90°):
2θ (°)	intensity
33.72	40
35.35	10
35.50	12
39.32	44
39.46	100
49.65	13
49.76	19
63.55	17
64.08	10
64.17	22
73.91	16
77.61	11

Structural model:
```
data_Mo4CN2
_chemical_formula_sum 'Mo32 C8 N16'
_cell_length_a 10.1560
_cell_length_b 10.6330
_cell_length_c 5.8329
_cell_angle_alpha 90.00
_cell_angle_beta 90.00
_cell_angle_gamma 90.00
_space_group_name_H-M_alt 'F d d 2'
_space_group_IT_number 43
_space_group_name_Hall 'F 2 -2d'
loop_
_atom_site_label
_atom_site_type_symbol
_atom_site_fract_x
_atom_site_fract_y
_atom_site_fract_z
Mo1 Mo 0.0864 0.3782 0.0000
Mo2 Mo 0.0866 0.3801 0.4913
C1 C 0.0000 0.0000 0.2470
N1 N 0.0024 0.2561 0.2442
```

Computed powder X-ray diffraction pattern of ZrAsO4F for Cu Ka, from a DFT-relaxed cell (PBE, Alexandria).
Intensities are scaled so that the largest is 100.

Main lines, low angle first (10° ≤ 2θ ≤ 90°):
2θ (°)	intensity
14.22	42
20.79	62
26.20	100
28.67	55
30.40	71
33.10	29
38.17	29
39.23	22
48.93	29
50.06	26
52.84	24
56.46	20

Structural model:
```
data_ZrAsO4F
_chemical_formula_sum 'Zr4 As4 O16 F4'
_cell_length_a 8.9650
_cell_length_b 6.8033
_cell_length_c 6.5344
_cell_angle_alpha 90.00
_cell_angle_beta 107.56
_cell_angle_gamma 90.00
_space_group_name_H-M_alt 'C 1 2/m 1'
_space_group_IT_number 12
_space_group_name_Hall '-C 2y'
loop_
_atom_site_label
_atom_site_type_symbol
_atom_site_fract_x
_atom_site_fract_y
_atom_site_fract_z
Zr1 Zr 0.2160 0.0000 0.1175
As1 As 0.1503 0.5000 0.2929
O1 O 0.0431 0.5000 0.7363
O2 O 0.1977 0.3150 0.1396
O3 O 0.2309 0.0000 0.4529
F1 F 0.0232 0.0000 0.8333
```

Computed powder X-ray diffraction pattern of Li4ZnH12N6 for Cu Ka, from a DFT-relaxed cell (PBE, Alexandria).
Intensities are scaled so that the largest is 100.

Main lines, low angle first (10° ≤ 2θ ≤ 90°):
2θ (°)	intensity
11.29	21
14.29	57
17.51	56
18.58	32
20.57	80
20.88	23
24.36	23
24.62	25
30.37	100
32.48	23
38.77	22
50.18	22

Structural model:
```
data_Li4ZnH12N6
_chemical_formula_sum 'Li16 Zn4 H48 N24'
_cell_length_a 5.0128
_cell_length_b 15.6691
_cell_length_c 10.1304
_cell_angle_alpha 90.00
_cell_angle_beta 90.00
_cell_angle_gamma 90.00
_space_group_name_H-M_alt 'C 2 2 21'
_space_group_IT_number 20
_space_group_name_Hall 'C 2c 2'
loop_
_atom_site_label
_atom_site_type_symbol
_atom_site_fract_x
_atom_site_fract_y
_atom_site_fract_z
Li1 Li 0.0000 0.0014 0.2500
Li2 Li 0.0000 0.1580 0.2500
Li3 Li 0.0000 0.3429 0.7500
Li4 Li 0.0050 0.0000 0.5000
Zn1 Zn 0.0000 0.1708 0.7500
H1 H 0.0791 0.2804 0.1382
H2 H 0.0915 0.4546 0.8814
H3 H 0.1076 0.4196 0.3477
H4 H 0.1772 0.2597 0.5556
H5 H 0.2100 0.1197 0.9623
H6 H 0.2322 0.1187 0.4491
N1 N 0.1963 0.0875 0.8742
N2 N 0.2371 0.0803 0.3668
N3 N 0.2479 0.2539 0.6502
```

Computed powder X-ray diffraction pattern of La3Nd5Ga2 for Cu Ka, from a DFT-relaxed cell (PBE, Alexandria).
Intensities are scaled so that the largest is 100.

Main lines, low angle first (10° ≤ 2θ ≤ 90°):
2θ (°)	intensity
25.54	29
28.65	24
30.57	100
30.71	46
33.25	40
33.39	27
39.27	27
49.72	12
50.66	23
52.47	15
52.75	13
57.93	15

Structural model:
```
data_La3Nd5Ga2
_chemical_formula_sum 'La6 Nd10 Ga4'
_cell_length_a 12.0026
_cell_length_b 12.0026
_cell_length_c 4.5888
_cell_angle_alpha 90.00
_cell_angle_beta 90.00
_cell_angle_gamma 90.00
_space_group_name_H-M_alt 'P 4/m b m'
_space_group_IT_number 127
_space_group_name_Hall '-P 4 2ab'
loop_
_atom_site_label
_atom_site_type_symbol
_atom_site_fract_x
_atom_site_fract_y
_atom_site_fract_z
La1 La 0.0000 0.0000 0.0000
La2 La 0.1739 0.3261 0.0000
Nd1 Nd 0.0000 0.5000 0.5000
Nd2 Nd 0.0743 0.7847 0.5000
Ga1 Ga 0.1234 0.6234 0.0000
```